[1]
For Ac2La15Pm2, a GGA-PBE-relaxed structure gives the calculated powder X-ray diffraction pattern in this record (Cu Kα, 1.54184 Å).

The 10 most intense peaks (2θ = 15–90°), by angle:
index  2θ (°)  intensity
1 1 3  21.1  16
3 0 0  26.2  36
0 2 4  26.4  28
0 0 6  29.7  28
0 3 3  30.2  100
2 2 0  30.4  99
2 2 3  33.9  40
3 3 3  48.9  18
0 3 9  53.1  20
6 0 0  54.0  38

Crystal structure
abc: 11.7652 11.7652 18.0300
angles: 90.00 90.00 120.00
Space group R-3m (No. 166, hexagonal axes)
One atom of each set of equivalent atoms:
Ac 0.0000 0.0000 0.1681 (multiplicity 6)
La 0.0000 0.2965 0.5000 (multiplicity 18)
La 0.0000 0.5000 0.0000 (multiplicity 9)
La 0.0106 0.5053 0.6418 (multiplicity 18)
Pm 0.0000 0.0000 0.4082 (multiplicity 6)


[2]
For CsMg14Sb, a GGA-PBE-relaxed structure gives the calculated powder X-ray diffraction pattern in this record (Cu Kα, 1.54184 Å).

The 10 most intense peaks (2θ = 15–90°), by angle:
index  2θ (°)  intensity
1 0 0  15.4  49
1 0 2  22.6  47
2 0 0  31.2  30
1 1 2  31.7  18
0 0 4  33.2  25
2 0 2  35.4  100
2 0 4  46.2  20
2 0 6  60.7  25
2 2 4  66.2  19
4 0 2  67.6  18

Crystal structure
abc: 6.6230 6.6230 10.7971
angles: 90.00 90.00 120.00
Space group P-6m2 (No. 187)
One atom of each set of equivalent atoms:
Cs 0.0000 0.0000 0.0000 (multiplicity 1)
Mg 0.0092 0.5046 0.0000 (multiplicity 3)
Mg 0.1727 0.3454 0.2688 (multiplicity 6)
Mg 0.5065 0.0131 0.5000 (multiplicity 3)
Mg 0.6667 0.3333 0.2443 (multiplicity 2)
Sb 0.0000 0.0000 0.5000 (multiplicity 1)


[3]
For Ta5Zn4, a GGA-PBE-relaxed structure gives the calculated powder X-ray diffraction pattern in this record (Cu Kα, 1.54184 Å).

The 10 most intense peaks (2θ = 15–90°), by angle:
index  2θ (°)  intensity
2 2 0  29.2  5
2 1 1  32.2  11
3 0 1  38.5  100
3 3 0  44.5  33
0 0 2  45.2  16
6 0 0  64.8  11
3 3 2  65.3  21
6 3 1  77.9  25
3 0 3  78.9  12
6 0 2  82.5  11

Crystal structure
abc: 8.6376 8.6376 4.0127
angles: 90.00 90.00 90.00
Space group I4/mmm (No. 139)
One atom of each set of equivalent atoms:
Ta 0.0000 0.0000 0.0000 (multiplicity 2)
Ta 0.1695 0.1695 0.5000 (multiplicity 8)
Zn 0.0000 0.3374 0.0000 (multiplicity 8)


[4]
For CsCeCu2Se4, a GGA-PBE-relaxed structure gives the calculated powder X-ray diffraction pattern in this record (Cu Kα, 1.54184 Å).

The 10 most intense peaks (2θ = 15–90°), by angle:
index  2θ (°)  intensity
1 1 2  25.5  100
1 2 1  26.1  40
0 2 2  28.0  36
2 0 2  33.1  33
2 2 0  33.7  62
1 3 2  38.7  19
1 1 4  42.6  41
3 1 2  46.5  19
2 3 3  50.9  18
1 3 4  52.2  16

Crystal structure
abc: 6.6743 8.8108 9.2484
angles: 90.00 90.00 90.00
Space group I222 (No. 23)
One atom of each set of equivalent atoms:
Cs 0.0000 0.0000 0.0000 (multiplicity 2)
Ce 0.0000 0.0000 0.5000 (multiplicity 2)
Cu 0.0000 0.5000 0.1314 (multiplicity 4)
Se 0.2474 0.3256 0.8315 (multiplicity 8)


[5]
For Ca2InSn2Hg4, a GGA-PBE-relaxed structure gives the calculated powder X-ray diffraction pattern in this record (Cu Kα, 1.54184 Å).

The 10 most intense peaks (2θ = 15–90°), by angle:
index  2θ (°)  intensity
1 1 0  17.5  20
0 0 2  17.9  42
2 0 2  30.8  100
2 2 0  35.4  54
0 0 4  36.3  23
2 1 3  39.2  24
2 2 2  40.0  17
3 0 3  47.0  19
2 2 4  51.7  28
4 2 2  60.8  20

Crystal structure
abc: 7.1660 7.1660 9.8913
angles: 90.00 90.00 90.00
Space group I4/mmm (No. 139)
One atom of each set of equivalent atoms:
Ca 0.0000 0.5000 0.2500 (multiplicity 4)
In 0.0000 0.0000 0.0000 (multiplicity 2)
Sn 0.0000 0.0000 0.2968 (multiplicity 4)
Hg 0.2216 0.2216 0.5000 (multiplicity 8)